Calculated XRD peak list
Compound: Na3NbOF6
Radiation: Cu Kα X-rays
Structure: a GGA-PBE-relaxed structure
Lines closer than 0.1° are merged.

Principal peaks in the range 10° ≤ 2θ ≤ 90°, by angle:
| 2theta | I/Imax |
| --- | --- |
| 19.1 | 93 |
| 19.4 | 75 |
| 21.6 | 27 |
| 22.6 | 62 |
| 31.5 | 100 |
| 32.6 | 30 |
| 44.1 | 30 |
| 46.1 | 46 |
| 56.4 | 44 |
| 57.5 | 33 |

```
Na3NbOF6
1.0
5.4957 0.0000 0.0000
0.0000 5.6408 0.0000
0.0000 0.0000 16.4294
Na Nb O F
12 4 4 24
Cartesian
1.1886 0.0505 0.0819
1.2821 2.9159 2.0674
1.2933 0.2020 12.1997
1.4546 5.4388 3.9850
1.4658 2.7250 10.2821
1.5593 5.5903 8.2966
3.9364 2.7699 16.3475
4.0299 5.5454 14.3620
4.0411 2.6184 4.2297
4.2024 3.0224 12.4444
4.2136 0.0955 6.1473
4.3071 2.8709 8.1328
1.3610 2.7644 6.1666
1.3868 2.8764 14.3813
4.1089 0.0560 10.2628
4.1347 5.5848 2.0481
0.1492 0.9122 10.0212
2.5986 4.7286 1.8065
2.8971 1.9082 6.4082
5.3464 3.7326 14.6229
0.2755 1.3850 7.2496
0.4101 1.4853 4.8934
0.5022 0.9120 2.2068
0.7055 0.9430 14.3911
0.8233 2.3934 12.4563
1.2349 3.4167 8.1005
1.5129 2.2242 16.3152
1.9245 3.2474 4.2416
2.0424 4.6979 6.1764
2.2457 4.7288 10.4215
2.3378 4.1556 13.1081
2.4723 4.2558 15.4643
3.0234 1.4354 9.1797
3.1579 1.3352 11.5360
3.2500 1.9084 14.2226
3.4533 1.8774 2.0383
3.5711 0.4270 3.9731
3.9828 5.0446 8.3289
4.2608 0.5962 0.1142
4.6724 5.2139 12.1877
4.7902 3.7634 10.2530
4.9935 3.7325 6.0079
5.0856 4.3057 3.3213
5.2201 4.2054 0.9650
```

***

Calculated XRD peak list
Compound: Na2NbZnF7
Radiation: Cu Kα X-rays
Structure: a GGA-PBE-relaxed structure
Lines closer than 0.1° are merged.

Principal peaks in the range 10° ≤ 2θ ≤ 90°, by angle:
| 2theta | I/Imax |
| --- | --- |
| 15.2 | 29 |
| 17.3 | 47 |
| 24.6 | 46 |
| 29.7 | 80 |
| 30.6 | 100 |
| 35.0 | 23 |
| 49.1 | 28 |
| 50.4 | 79 |
| 59.0 | 28 |
| 60.6 | 25 |

```
Na2NbZnF7
1.0
10.2360 0.0000 0.0000
0.0000 7.4222 0.0000
0.0000 0.0000 7.0999
Na Nb Zn F
8 4 4 28
Cartesian
0.0000 0.0000 0.0000
0.0000 3.7111 0.0000
2.5515 1.8556 1.8520
2.5665 5.5667 5.4020
5.1180 0.0000 3.5499
5.1180 3.7111 3.5499
7.6695 1.8556 1.6979
7.6845 5.5667 5.2479
2.4794 1.8556 5.3909
2.6385 5.5667 1.8410
7.5974 1.8556 5.2589
7.7565 5.5667 1.7090
0.0000 0.0000 3.5499
0.0000 3.7111 3.5499
5.1180 0.0000 0.0000
5.1180 3.7111 0.0000
0.1195 1.8556 3.0270
1.2761 0.1494 5.1190
1.2761 3.5617 5.1190
1.3844 1.8556 0.0461
1.4603 3.8906 2.1771
1.4684 5.5667 0.1400
1.4603 7.2427 2.1771
3.6577 0.1795 5.7270
3.6496 1.8556 3.6899
3.6577 3.5316 5.7270
3.7336 5.5667 3.5961
3.8419 3.8605 1.5691
3.8419 7.2728 1.5691
4.9985 5.5667 6.5769
5.2375 1.8556 0.5230
6.3941 0.1494 5.5308
6.3941 3.5617 5.5308
6.5024 1.8556 3.5038
6.5783 3.8906 1.3728
6.5864 5.5667 3.4100
6.5783 7.2427 1.3728
8.7757 0.1795 4.9228
8.7676 1.8556 6.9599
8.7757 3.5316 4.9228
8.8516 5.5667 7.0538
8.9599 3.8605 1.9808
8.9599 7.2728 1.9808
10.1165 5.5667 4.0729
```

***

Calculated XRD peak list
Compound: NaNp2F9
Radiation: Cu Kα X-rays
Structure: a GGA-PBE-relaxed structure
Lines closer than 0.1° are merged.

Principal peaks in the range 10° ≤ 2θ ≤ 90°, by angle:
| 2theta | I/Imax |
| --- | --- |
| 16.6 | 100 |
| 21.1 | 23 |
| 24.9 | 57 |
| 28.4 | 81 |
| 30.1 | 46 |
| 33.1 | 42 |
| 44.6 | 31 |
| 45.1 | 24 |
| 49.1 | 23 |
| 49.4 | 23 |

```
NaNp2F9
1.0
8.4252 0.0000 0.0000
0.0000 10.6662 0.0000
0.0000 0.0000 6.7613
Na Np F
4 8 36
Cartesian
0.2574 2.6665 1.0281
3.9553 7.9996 4.4088
4.4700 2.6665 2.3525
8.1679 7.9996 5.7331
1.4443 0.4808 4.4928
1.4443 4.8523 4.4928
2.7683 5.8139 1.1122
2.7683 10.1854 1.1122
5.6569 0.4808 5.6491
5.6569 4.8523 5.6491
6.9810 5.8139 2.2685
6.9810 10.1854 2.2685
0.0296 1.1820 2.8007
0.0296 4.1511 2.8007
0.5961 6.3006 1.4219
0.5961 9.6987 1.4219
1.4291 2.6665 4.5684
1.6343 1.1456 6.7214
1.6343 4.1875 6.7214
1.6825 6.6009 5.8878
1.6825 9.3984 5.8878
2.5301 1.2678 2.5072
2.5301 4.0653 2.5072
2.5783 6.4787 3.3407
2.5783 9.5206 3.3407
2.7836 7.9996 1.1878
3.6166 0.9675 4.8025
3.6166 4.3656 4.8025
4.1830 6.5151 6.1813
4.1830 9.4842 6.1813
4.2422 1.1820 0.5800
4.2422 4.1511 0.5800
4.8087 6.3006 1.9587
4.8087 9.6987 1.9587
5.6417 2.6665 5.5735
5.8469 1.1456 3.4205
5.8469 4.1875 3.4205
5.8952 6.6009 4.2541
5.8952 9.3984 4.2541
6.7427 1.2678 0.8734
6.7427 4.0653 0.8734
6.7910 6.4787 0.0399
6.7910 9.5206 0.0399
6.9962 7.9996 2.1928
7.8292 0.9675 5.3394
7.8292 4.3656 5.3394
8.3957 6.5151 3.9606
8.3957 9.4842 3.9606
```

***

Calculated XRD peak list
Compound: NaZnSO4F
Radiation: Cu Kα X-rays
Structure: a GGA-PBE-relaxed structure
Lines closer than 0.1° are merged.

Principal peaks in the range 10° ≤ 2θ ≤ 90°, by angle:
| 2theta | I/Imax |
| --- | --- |
| 18.1 | 65 |
| 27.8 | 100 |
| 30.0 | 78 |
| 34.8 | 66 |
| 35.1 | 66 |
| 40.0 | 19 |
| 44.0 | 28 |
| 53.6 | 27 |
| 54.4 | 24 |
| 56.3 | 23 |

```
NaZnSO4F
1.0
3.2698 -4.2901 0.0000
3.2698 4.2901 0.0000
-2.8555 0.0000 6.3637
Na Zn S O F
2 2 2 8 2
Cartesian
1.1282 2.9068 4.7728
2.5560 -2.9068 1.5909
3.2698 0.0000 0.0000
1.8421 0.0000 3.1819
2.5560 2.7520 1.5909
1.1282 -2.7520 4.7728
-1.5325 0.6577 5.8058
1.5199 1.9064 2.2437
-0.1047 -0.6577 2.6239
3.5921 1.9064 0.9381
0.0922 -1.9064 5.4256
3.7890 0.6577 3.7398
2.1643 -1.9064 4.1200
5.2167 -0.6577 0.5580
1.1282 0.7812 4.7728
2.5560 -0.7812 1.5909
```

***

Calculated XRD peak list
Compound: Na5Tm4Si4O16F
Radiation: Cu Kα X-rays
Structure: a GGA-PBE-relaxed structure
Lines closer than 0.1° are merged.

Principal peaks in the range 10° ≤ 2θ ≤ 90°, by angle:
| 2theta | I/Imax |
| --- | --- |
| 11.0 | 57 |
| 18.3 | 100 |
| 24.1 | 44 |
| 24.7 | 50 |
| 28.8 | 62 |
| 32.9 | 64 |
| 33.5 | 41 |
| 36.6 | 56 |
| 43.1 | 38 |
| 49.4 | 39 |

```
Na5Tm4Si4O16F
1.0
-5.7018 5.7018 2.6758
5.7018 -5.7018 2.6758
5.7018 5.7018 -2.6758
Na Tm Si O F
5 4 4 16 1
Cartesian
0.0000 0.0000 0.0000
6.7207 1.1832 -0.0300
1.1832 4.6830 0.0300
4.5186 1.0189 2.7058
-1.0189 4.5186 2.6458
4.3901 3.6372 -0.1299
2.0646 -1.3118 2.8058
3.6372 7.0136 0.1299
1.3118 2.0646 2.5459
2.8194 1.1898 0.0579
4.5120 -2.8824 2.6180
1.1898 8.5842 -0.0579
2.8824 4.5120 2.7337
6.2515 3.5849 -1.4072
4.4473 1.2635 -0.0712
8.6779 2.3197 -0.3771
3.3707 5.3368 -1.2915
2.3311 0.3650 1.3843
2.3197 2.7258 0.3771
4.4383 -1.2546 2.7470
-0.5496 2.1169 1.2687
6.0668 3.3707 1.2915
1.2635 6.9564 0.0712
3.5849 5.1522 1.4072
-2.9760 3.3821 2.2987
2.1169 0.5496 4.0830
3.3821 2.9760 3.0530
1.2546 4.4383 2.6046
-0.3650 2.3311 3.9674
0.0000 0.0000 2.6758
```

***

Calculated XRD peak list
Compound: Na2OsF6
Radiation: Cu Kα X-rays
Structure: a GGA-PBE-relaxed structure
Lines closer than 0.1° are merged.

Principal peaks in the range 10° ≤ 2θ ≤ 90°, by angle:
| 2theta | I/Imax |
| --- | --- |
| 18.6 | 100 |
| 22.5 | 24 |
| 29.4 | 84 |
| 32.5 | 34 |
| 39.9 | 30 |
| 44.4 | 40 |
| 50.1 | 21 |
| 50.7 | 20 |
| 56.1 | 28 |
| 61.0 | 16 |

```
Na2OsF6
1.0
4.7654 -2.7532 0.0000
4.7654 2.7532 0.0000
-0.0079 0.0000 3.9444
Na Os F
2 1 6
Cartesian
1.5841 0.0000 1.1196
7.9389 0.0000 2.8248
4.7654 0.0000 0.0000
3.9105 1.4787 0.9511
3.0539 0.0000 2.9868
5.6124 1.4787 2.9932
3.9105 -1.4787 0.9511
6.4691 0.0000 0.9576
5.6124 -1.4787 2.9932
```

***

Calculated XRD peak list
Compound: NaPaF6
Radiation: Cu Kα X-rays
Structure: a GGA-PBE-relaxed structure
Lines closer than 0.1° are merged.

Principal peaks in the range 10° ≤ 2θ ≤ 90°, by angle:
| 2theta | I/Imax |
| --- | --- |
| 18.2 | 88 |
| 21.0 | 100 |
| 29.9 | 43 |
| 35.2 | 52 |
| 42.8 | 25 |
| 46.9 | 23 |
| 48.2 | 44 |
| 53.1 | 19 |
| 56.6 | 19 |
| 66.4 | 21 |

```
NaPaF6
1.0
0.0000 4.2253 4.2253
4.2253 0.0000 4.2253
4.2253 4.2253 0.0000
Na Pa F
1 1 6
Cartesian
0.0000 0.0000 0.0000
4.2253 4.2253 4.2253
4.2253 4.2253 2.1358
4.2253 2.1358 4.2253
6.3148 4.2253 4.2253
2.1358 4.2253 4.2253
4.2253 6.3148 4.2253
4.2253 4.2253 6.3148
```

***

Calculated XRD peak list
Compound: Na5Pr2F13
Radiation: Cu Kα X-rays
Structure: a GGA-PBE-relaxed structure
Lines closer than 0.1° are merged.

Principal peaks in the range 10° ≤ 2θ ≤ 90°, by angle:
| 2theta | I/Imax |
| --- | --- |
| 17.6 | 27 |
| 18.0 | 81 |
| 19.8 | 38 |
| 20.9 | 39 |
| 27.0 | 27 |
| 28.5 | 63 |
| 29.4 | 100 |
| 37.5 | 26 |
| 47.6 | 58 |
| 48.3 | 40 |

```
Na5Pr2F13
1.0
5.7581 -2.7260 0.0000
5.7581 2.7260 0.0000
-1.0791 0.0000 8.4850
Na Pr F
5 2 13
Cartesian
0.0000 0.0000 0.0000
1.4061 0.0000 3.6292
2.3331 0.0000 7.1337
8.1041 0.0000 1.3512
9.0310 0.0000 4.8558
4.5548 0.0000 2.0831
5.8823 0.0000 6.4018
3.0941 1.4405 3.0767
4.0389 1.4049 0.3727
4.0980 1.4415 6.4788
6.3391 1.4415 2.0062
6.3982 1.4049 8.1123
7.3430 1.4405 5.4083
5.2186 0.0000 4.2425
3.0941 -1.4405 3.0767
4.0389 -1.4049 0.3727
4.0980 -1.4415 6.4788
6.3391 -1.4415 2.0062
6.3982 -1.4049 8.1123
7.3430 -1.4405 5.4083
```

***

Calculated XRD peak list
Compound: Na2PtF6
Radiation: Cu Kα X-rays
Structure: a GGA-PBE-relaxed structure
Lines closer than 0.1° are merged.

Principal peaks in the range 10° ≤ 2θ ≤ 90°, by angle:
| 2theta | I/Imax |
| --- | --- |
| 19.6 | 100 |
| 21.5 | 85 |
| 26.9 | 17 |
| 29.2 | 45 |
| 34.3 | 25 |
| 35.4 | 45 |
| 42.1 | 22 |
| 45.6 | 18 |
| 51.2 | 40 |
| 54.3 | 19 |

```
Na2PtF6
1.0
9.0643 0.0000 0.0000
-4.5321 7.8499 0.0000
0.0000 0.0000 4.8703
Na Pt F
6 3 18
Cartesian
-1.3635 2.3617 0.0000
-2.8764 4.9821 2.4352
2.7271 0.0000 0.0000
1.6557 2.8678 2.4352
5.7529 0.0000 2.4352
3.1686 5.4882 0.0000
0.0000 0.0000 2.4352
0.0000 5.2333 0.0206
4.5321 2.6166 4.8498
-3.1652 6.9575 1.3582
0.0894 1.6300 1.3582
-1.2878 4.2737 1.1413
1.3670 0.8924 3.5121
-1.4411 5.9488 3.7735
0.1009 3.6275 3.7735
-0.1871 6.8283 1.1413
1.4749 4.5978 1.1413
3.0911 1.9011 1.0968
1.3402 6.1235 3.7735
4.3451 1.0216 3.7290
3.2443 3.5762 3.7290
5.8723 1.7264 1.0968
4.6330 4.2224 1.0968
3.0758 7.1123 1.3582
6.0070 3.2521 3.7290
7.6080 0.7376 3.5121
4.6215 6.2199 3.5121
```